No. 1
# Na15Ag
Theoretical XRD peak list, Cu Ka. Input: DFT lattice parameters and positions (GGA-PBE).
Neutral-atom scattering factors, no anomalous dispersion.

```
data_Na15Ag
_cell_length_a 7.3533
_cell_length_b 7.3533
_cell_length_c 11.7196
_cell_angle_alpha 90.00
_cell_angle_beta 90.00
_cell_angle_gamma 120.00
_symmetry_space_group_name_H-M 'P -6 m 2'
_symmetry_Int_Tables_number 187
_symmetry_space_group_name_Hall 'P -6 2'
loop_
_atom_site_label
_atom_site_type_symbol
_atom_site_fract_x
_atom_site_fract_y
_atom_site_fract_z
Na1 Na 0.0000 0.0000 0.0000
Na2 Na 0.0075 0.5037 0.5000
Na3 Na 0.3198 0.1599 0.2686
Na4 Na 0.3333 0.6667 0.2423
Na5 Na 0.5035 0.0071 0.0000
Ag1 Ag 0.0000 0.0000 0.5000
```

Peak list (10 most intense, 2θ from 15° to 90°, most intense first)
hkl 2 0 2, 2θ = 32.0°, d = 2.798 Å, I = 100.0; hkl 1 0 1, 2θ = 15.8°, d = 5.595 Å, I = 27.4; hkl 2 0 0, 2θ = 28.0°, d = 3.184 Å, I = 26.3; hkl 0 0 4, 2θ = 30.5°, d = 2.930 Å, I = 23.8; hkl 2 2 4, 2θ = 59.3°, d = 1.557 Å, I = 18.5; hkl 2 2 0, 2θ = 49.6°, d = 1.838 Å, I = 18.0; hkl 2 0 6, 2θ = 55.2°, d = 1.665 Å, I = 17.2; hkl 2 0 4, 2θ = 41.9°, d = 2.156 Å, I = 16.6; hkl 4 0 2, 2θ = 60.2°, d = 1.536 Å, I = 14.0; hkl 1 0 2, 2θ = 20.6°, d = 4.312 Å, I = 11.6

No. 2
# Na4Ag
Theoretical XRD peak list, Cu Ka. Input: DFT lattice parameters and positions (GGA-PBE).
Neutral-atom scattering factors, no anomalous dispersion.

Unit cell a=11.513 b=11.513 c=11.513 alpha=90.00 beta=90.00 gamma=90.00
Space group Fd-3m (No. 227, origin choice 2)
Asymmetric unit:
Na (0.017, 0.017, 0.233)
Ag (0.125, 0.125, 0.625)

Peak list (10 most intense, 2θ from 15° to 90°, most intense first)
hkl 2 2 0, 2θ = 21.8°, d = 4.071 Å, I = 100.0; hkl 3 1 1, 2θ = 25.7°, d = 3.471 Å, I = 53.6; hkl 3 3 1, 2θ = 33.9°, d = 2.641 Å, I = 50.8; hkl 4 4 0, 2θ = 44.5°, d = 2.035 Å, I = 40.0; hkl 4 2 2, 2θ = 38.3°, d = 2.350 Å, I = 39.5; hkl 5 1 1, 2θ = 40.7°, d = 2.216 Å, I = 37.6; hkl 6 4 2, 2θ = 60.1°, d = 1.539 Å, I = 25.7; hkl 2 2 2, 2θ = 26.8°, d = 3.324 Å, I = 24.8; hkl 5 3 1, 2θ = 46.7°, d = 1.946 Å, I = 16.2; hkl 6 2 0, 2θ = 50.1°, d = 1.820 Å, I = 15.0

What is the formula in the first record?
Na15Ag